Structure and theoretical X-ray powder pattern of Th2Zn16Ga (a GGA-PBE-relaxed structure; Cu Kα (weighted mean of Kα1 and Kα2)).
No peak broadening, texture or thermal motion is included.

```
Th2Zn16Ga
1.0
4.565 2.636 4.384
-4.565 2.636 4.384
0.000 -5.271 4.384
Th Zn Ga
2 16 1
direct
0.000 0.000 0.000
0.326 0.326 0.326
0.014 0.014 0.501
0.014 0.501 0.014
0.157 0.666 0.666
0.310 0.310 0.827
0.310 0.827 0.310
0.366 0.663 0.960
0.366 0.960 0.663
0.501 0.014 0.014
0.663 0.366 0.960
0.663 0.960 0.366
0.666 0.157 0.666
0.666 0.666 0.157
0.761 0.761 0.761
0.827 0.310 0.310
0.960 0.366 0.663
0.960 0.663 0.366
0.563 0.563 0.563
```

Most intense lines, 2θ from 15° to 90°, in order of rising 2θ:
d = 3.162 Å, 2θ = 28.22°, rel. 43.4; d = 2.636 Å, 2θ = 34.01°, rel. 44.2; d = 2.528 Å, 2θ = 35.51°, rel. 24.0; d = 2.283 Å, 2θ = 39.48°, rel. 58.8; d = 2.259 Å, 2θ = 39.91°, rel. 100.0; d = 2.191 Å, 2θ = 41.20°, rel. 44.9

***

Structure and theoretical X-ray powder pattern of LiNpGa2Au4 (a GGA-PBE-relaxed structure; Cu Kα (weighted mean of Kα1 and Kα2)).
No peak broadening, texture or thermal motion is included.

```
LiNpGa2Au4
1.0
2.277 1.314 8.318
-2.277 1.314 8.318
0.000 -2.629 8.318
Li Np Ga Au
1 1 2 4
direct
0.000 0.000 0.000
0.500 0.500 0.500
0.255 0.255 0.255
0.745 0.745 0.745
0.106 0.106 0.106
0.366 0.366 0.366
0.634 0.634 0.634
0.894 0.894 0.894
```

Most intense lines, 2θ from 15° to 90°, in order of rising 2θ:
d = 3.094 Å, 2θ = 28.86°, rel. 32.5; d = 2.644 Å, 2θ = 33.90°, rel. 36.5; d = 2.446 Å, 2θ = 36.74°, rel. 83.2; d = 2.277 Å, 2θ = 39.59°, rel. 100.0; d = 1.667 Å, 2θ = 55.11°, rel. 26.2; d = 1.344 Å, 2θ = 70.00°, rel. 48.0

***

Structure and theoretical X-ray powder pattern of CdHgGeF6 (a GGA-PBE-relaxed structure; Cu Kα (weighted mean of Kα1 and Kα2)).
No peak broadening, texture or thermal motion is included.

```
CdHgGeF6
1.0
2.842 -4.942 0.000
2.842 4.942 0.000
-0.026 0.000 6.884
Cd Hg Ge F
1 1 1 6
direct
0.000 0.000 0.000
0.335 0.665 0.500
0.667 0.333 0.000
0.390 0.074 0.849
0.393 0.315 0.152
0.685 0.607 0.848
0.686 0.077 0.152
0.923 0.314 0.848
0.926 0.610 0.151
```

Most intense lines, 2θ from 15° to 90°, in order of rising 2θ:
d = 4.010 Å, 2θ = 22.17°, rel. 100.0; d = 3.442 Å, 2θ = 25.88°, rel. 14.8; d = 2.848 Å, 2θ = 31.41°, rel. 26.1; d = 2.324 Å, 2θ = 38.75°, rel. 13.3; d = 2.196 Å, 2θ = 41.10°, rel. 28.2; d = 1.802 Å, 2θ = 50.66°, rel. 11.0

***

Structure and theoretical X-ray powder pattern of Sr2LiPtO4 (a GGA-PBE-relaxed structure; Cu Kα (weighted mean of Kα1 and Kα2)).
No peak broadening, texture or thermal motion is included.

```
Sr2LiPtO4
1.0
0.000 6.032 8.845
2.458 0.000 8.845
2.458 6.032 0.000
Sr Li Pt O
4 2 2 8
direct
0.054 0.054 0.696
0.304 0.304 0.946
0.696 0.696 0.054
0.946 0.946 0.304
0.375 0.375 0.375
0.625 0.625 0.625
0.125 0.125 0.125
0.875 0.875 0.875
0.041 0.277 0.459
0.276 0.541 0.723
0.277 0.041 0.724
0.459 0.724 0.041
0.541 0.276 0.959
0.723 0.959 0.276
0.724 0.459 0.277
0.959 0.723 0.541
```

Most intense lines, 2θ from 15° to 90°, in order of rising 2θ:
d = 4.413 Å, 2θ = 20.12°, rel. 100.0; d = 3.066 Å, 2θ = 29.13°, rel. 34.6; d = 2.794 Å, 2θ = 32.04°, rel. 30.1; d = 2.649 Å, 2θ = 33.84°, rel. 40.1; d = 2.337 Å, 2θ = 38.52°, rel. 30.1; d = 2.276 Å, 2θ = 39.59°, rel. 29.0

***

Structure and theoretical X-ray powder pattern of TmNbFe10 (a GGA-PBE-relaxed structure; Cu Kα (weighted mean of Kα1 and Kα2)).
No peak broadening, texture or thermal motion is included.

```
TmNbFe10
1.0
3.968 0.000 0.000
0.000 4.829 0.000
0.000 0.000 8.333
Tm Nb Fe
1 1 10
direct
0.000 0.000 0.000
0.000 0.500 0.500
0.000 0.000 0.342
0.000 0.000 0.658
0.000 0.500 0.178
0.000 0.500 0.822
0.500 0.000 0.500
0.500 0.252 0.257
0.500 0.252 0.743
0.500 0.500 0.000
0.500 0.748 0.257
0.500 0.748 0.743
```

Most intense lines, 2θ from 15° to 90°, in order of rising 2θ:
d = 2.876 Å, 2θ = 31.10°, rel. 48.5; d = 2.408 Å, 2θ = 37.35°, rel. 20.2; d = 2.089 Å, 2θ = 43.31°, rel. 22.8; d = 2.060 Å, 2θ = 43.96°, rel. 100.0; d = 1.984 Å, 2θ = 45.73°, rel. 28.4; d = 1.438 Å, 2θ = 64.84°, rel. 19.7

***

Structure and theoretical X-ray powder pattern of Pr8Ir3I4F (a GGA-PBE-relaxed structure; Cu Kα (weighted mean of Kα1 and Kα2)).
No peak broadening, texture or thermal motion is included.

```
Pr8Ir3I4F
1.0
7.321 -4.222 0.000
7.321 4.222 0.000
-4.882 0.000 8.182
Pr Ir I F
8 3 4 1
direct
0.216 0.735 0.687
0.228 0.228 0.684
0.264 0.264 0.312
0.265 0.784 0.313
0.735 0.216 0.687
0.736 0.736 0.688
0.772 0.772 0.316
0.784 0.265 0.313
0.000 0.000 0.500
0.000 0.500 0.500
0.500 0.000 0.500
0.000 0.000 0.000
0.000 0.500 0.000
0.500 0.000 0.000
0.500 0.500 0.000
0.500 0.500 0.500
```

Most intense lines, 2θ from 15° to 90°, in order of rising 2θ:
d = 3.142 Å, 2θ = 28.40°, rel. 100.0; d = 2.531 Å, 2θ = 35.46°, rel. 12.9; d = 2.351 Å, 2θ = 38.29°, rel. 28.4; d = 2.112 Å, 2θ = 42.82°, rel. 37.7; d = 1.752 Å, 2θ = 52.20°, rel. 12.1; d = 1.349 Å, 2θ = 69.73°, rel. 10.0

***

Structure and theoretical X-ray powder pattern of Nb2Pd2Pt5 (a GGA-PBE-relaxed structure; Cu Kα (weighted mean of Kα1 and Kα2)).
No peak broadening, texture or thermal motion is included.

```
Nb2Pd2Pt5
1.0
4.915 0.000 0.000
-0.119 6.904 0.000
-1.618 -2.380 8.460
Nb Pd Pt
4 4 10
direct
0.000 0.000 0.000
0.121 0.573 0.821
0.437 0.437 0.319
0.681 0.138 0.500
0.225 0.200 0.661
0.436 0.921 0.831
0.786 0.762 0.325
0.894 0.375 0.157
0.128 0.101 0.329
0.237 0.712 0.156
0.338 0.319 0.996
0.343 0.812 0.492
0.557 0.525 0.651
0.565 0.047 0.165
0.685 0.657 0.983
0.784 0.256 0.824
0.888 0.863 0.663
0.994 0.473 0.489
```

Most intense lines, 2θ from 15° to 90°, in order of rising 2θ:
d = 2.316 Å, 2θ = 38.89°, rel. 51.0; d = 2.305 Å, 2θ = 39.07°, rel. 100.0; d = 2.301 Å, 2θ = 39.14°, rel. 49.2; d = 2.018 Å, 2θ = 44.91°, rel. 34.0; d = 1.997 Å, 2θ = 45.42°, rel. 33.4; d = 1.979 Å, 2θ = 45.85°, rel. 31.5

***

Structure and theoretical X-ray powder pattern of Y2Tm5 (a GGA-PBE-relaxed structure; Cu Kα (weighted mean of Kα1 and Kα2)).
No peak broadening, texture or thermal motion is included.

```
Y2Tm5
1.0
10.551 -3.107 0.000
10.551 3.107 0.000
-0.110 0.000 6.618
Y Tm
4 10
direct
0.011 0.844 0.892
0.156 0.989 0.608
0.844 0.011 0.392
0.989 0.156 0.108
0.132 0.299 0.822
0.273 0.440 0.534
0.299 0.132 0.322
0.418 0.582 0.250
0.440 0.273 0.034
0.560 0.727 0.966
0.582 0.418 0.750
0.701 0.868 0.678
0.727 0.560 0.466
0.868 0.701 0.178
```

Most intense lines, 2θ from 15° to 90°, in order of rising 2θ:
d = 3.106 Å, 2θ = 28.74°, rel. 24.0; d = 2.782 Å, 2θ = 32.17°, rel. 23.8; d = 2.712 Å, 2θ = 33.03°, rel. 100.0; d = 1.793 Å, 2θ = 50.92°, rel. 19.7; d = 1.593 Å, 2θ = 57.90°, rel. 20.1; d = 1.507 Å, 2θ = 61.52°, rel. 22.3

***

Structure and theoretical X-ray powder pattern of Li4Ga2Pb (a GGA-PBE-relaxed structure; Cu Kα (weighted mean of Kα1 and Kα2)).
No peak broadening, texture or thermal motion is included.

```
Li4Ga2Pb
1.0
7.691 0.000 0.000
0.000 4.444 0.000
-0.012 0.000 8.266
Li Ga Pb
8 4 2
direct
0.166 0.000 0.394
0.167 0.000 0.740
0.333 0.500 0.260
0.334 0.500 0.606
0.666 0.500 0.394
0.667 0.500 0.740
0.833 0.000 0.260
0.834 0.000 0.606
0.167 0.000 0.069
0.333 0.500 0.931
0.667 0.500 0.069
0.833 0.000 0.931
0.000 0.500 0.500
0.500 0.000 0.500
```

Most intense lines, 2θ from 15° to 90°, in order of rising 2θ:
d = 4.133 Å, 2θ = 21.50°, rel. 29.1; d = 3.488 Å, 2θ = 25.54°, rel. 100.0; d = 2.816 Å, 2θ = 31.78°, rel. 26.5; d = 2.240 Å, 2θ = 40.26°, rel. 29.6; d = 2.221 Å, 2θ = 40.62°, rel. 28.0; d = 1.956 Å, 2θ = 46.41°, rel. 23.7

***

Structure and theoretical X-ray powder pattern of CaIrF (a GGA-PBE-relaxed structure; Cu Kα (weighted mean of Kα1 and Kα2)).
No peak broadening, texture or thermal motion is included.

```
CaIrF
1.0
3.859 0.000 0.000
-0.823 3.778 0.000
-1.130 -1.415 7.471
Ca Ir F
2 2 2
direct
0.183 0.183 0.320
0.817 0.817 0.680
0.299 0.699 0.000
0.701 0.301 0.000
0.249 0.751 0.499
0.751 0.249 0.501
```

Most intense lines, 2θ from 15° to 90°, in order of rising 2θ:
d = 3.735 Å, 2θ = 23.82°, rel. 100.0; d = 3.101 Å, 2θ = 28.79°, rel. 39.1; d = 2.791 Å, 2θ = 32.07°, rel. 65.2; d = 2.490 Å, 2θ = 36.07°, rel. 46.3; d = 2.416 Å, 2θ = 37.22°, rel. 45.4; d = 2.343 Å, 2θ = 38.42°, rel. 70.3

***

Structure and theoretical X-ray powder pattern of Ce2Pm5Pb4 (a GGA-PBE-relaxed structure; Cu Kα (weighted mean of Kα1 and Kα2)).
No peak broadening, texture or thermal motion is included.

```
Ce2Pm5Pb4
1.0
11.774 -1.775 0.000
11.774 1.775 0.000
-0.457 0.000 8.370
Ce Pm Pb
2 5 4
direct
0.234 0.234 0.331
0.766 0.766 0.669
0.000 0.000 0.500
0.320 0.320 0.012
0.368 0.368 0.441
0.632 0.632 0.559
0.680 0.680 0.988
0.093 0.093 0.222
0.460 0.460 0.150
0.540 0.540 0.850
0.907 0.907 0.778
```

Most intense lines, 2θ from 15° to 90°, in order of rising 2θ:
d = 3.227 Å, 2θ = 27.64°, rel. 78.2; d = 2.822 Å, 2θ = 31.71°, rel. 100.0; d = 2.786 Å, 2θ = 32.13°, rel. 90.8; d = 2.749 Å, 2θ = 32.58°, rel. 85.0; d = 2.657 Å, 2θ = 33.73°, rel. 82.8; d = 2.587 Å, 2θ = 34.68°, rel. 83.9

***

Structure and theoretical X-ray powder pattern of InAgPbF6 (a GGA-PBE-relaxed structure; Cu Kα (weighted mean of Kα1 and Kα2)).
No peak broadening, texture or thermal motion is included.

```
InAgPbF6
1.0
5.423 0.000 0.000
0.000 5.423 0.000
0.000 0.000 11.059
In Ag Pb F
2 2 2 12
direct
0.000 0.000 0.000
0.500 0.500 0.500
0.000 0.000 0.664
0.500 0.500 0.164
0.000 0.000 0.336
0.500 0.500 0.836
0.182 0.182 0.145
0.184 0.184 0.857
0.224 0.224 0.494
0.276 0.724 0.994
0.316 0.684 0.357
0.318 0.682 0.645
0.682 0.318 0.645
0.684 0.316 0.357
0.724 0.276 0.994
0.776 0.776 0.494
0.816 0.816 0.857
0.818 0.818 0.145
```

Most intense lines, 2θ from 15° to 90°, in order of rising 2θ:
d = 3.834 Å, 2θ = 23.20°, rel. 100.0; d = 3.049 Å, 2θ = 29.29°, rel. 87.4; d = 2.711 Å, 2θ = 33.04°, rel. 23.9; d = 2.026 Å, 2θ = 44.73°, rel. 73.4; d = 1.917 Å, 2θ = 47.42°, rel. 18.7; d = 1.623 Å, 2θ = 56.72°, rel. 22.1